Computed PXRD pattern of LiLa4Ni3WO12 for copper Kα, from the GGA+U geometry in Alexandria.

```
LiLa4Ni3WO12
1.0
5.5188 0.0000 0.0000
0.0000 5.5641 0.0000
0.0000 0.0000 8.4937
Li La Ni W O
1 4 3 1 12
direct
0.0000 0.0000 0.0000 Li
0.0000 0.0000 0.3063 La
0.0000 0.0000 0.6937 La
0.5000 0.5000 0.2796 La
0.5000 0.5000 0.7204 La
0.0000 0.5000 0.5000 Ni
0.5000 0.0000 0.0000 Ni
0.5000 0.0000 0.5000 Ni
0.0000 0.5000 0.0000 W
0.0000 0.5000 0.2451 O
0.0000 0.5000 0.7549 O
0.2410 0.2450 0.0000 O
0.2410 0.7550 0.0000 O
0.2457 0.2495 0.5000 O
0.2457 0.7505 0.5000 O
0.5000 0.0000 0.2536 O
0.5000 0.0000 0.7464 O
0.7543 0.2495 0.5000 O
0.7543 0.7505 0.5000 O
0.7590 0.2450 0.0000 O
0.7590 0.7550 0.0000 O
```

Top 6 peaks for 10 to 80 degrees two-theta, sorted by position:
d 3.558, intensity 19.1; d 2.880, intensity 100.0; d 2.782, intensity 28.8; d 2.759, intensity 28.2; d 1.959, intensity 34.4; d 1.624, intensity 19.1